(1)
The following is a computed PXRD pattern of Pm12PrY5. It was derived from the GGA-PBE geometry in Alexandria, using λ = 1.5418 Å (Cu Kα).
Intensities are scaled so that the largest is 100.

Top 8 peaks for 10° ≤ 2θ ≤ 90°, in order of rising 2θ:
2θ = 30.5°, I = 30
2θ = 31.0°, I = 100
2θ = 31.2°, I = 23
2θ = 31.4°, I = 23
2θ = 44.4°, I = 16
2θ = 54.6°, I = 17
2θ = 55.7°, I = 10
2θ = 61.8°, I = 12

Crystal structure
abc: 10.495 10.495 5.859
angles: 90.07 90.07 109.00
Atoms (fractional coordinates):
Pm 0.027 0.670 0.994
Pm 0.169 0.528 0.505
Pm 0.203 0.203 0.447
Pm 0.303 0.303 0.949
Pm 0.330 0.973 0.006
Pm 0.472 0.831 0.495
Pm 0.528 0.169 0.505
Pm 0.670 0.027 0.994
Pm 0.697 0.697 0.051
Pm 0.797 0.797 0.553
Pm 0.831 0.472 0.495
Pm 0.973 0.330 0.006
Pr 0.000 0.000 0.000
Y 0.138 0.862 0.500
Y 0.362 0.638 0.000
Y 0.500 0.500 0.500
Y 0.638 0.362 0.000
Y 0.862 0.138 0.500

(2)
The following is a computed PXRD pattern of YHgTe2. It was derived from the GGA-PBE geometry in Alexandria, using λ = 1.5418 Å (Cu Kα).
Intensities are scaled so that the largest is 100.

Top 8 peaks for 10° ≤ 2θ ≤ 90°, in order of rising 2θ:
2θ = 11.1°, I = 35
2θ = 27.3°, I = 57
2θ = 27.5°, I = 100
2θ = 28.8°, I = 38
2θ = 30.8°, I = 76
2θ = 34.0°, I = 60
2θ = 40.0°, I = 34
2θ = 41.9°, I = 41

Crystal structure
abc: 7.744 7.744 10.014
angles: 125.80 125.80 32.36
Atoms (fractional coordinates):
Y 0.000 0.000 0.000
Y 0.624 0.624 0.645
Hg 0.388 0.388 0.292
Hg 0.751 0.751 0.419
Te 0.100 0.100 0.386
Te 0.316 0.316 0.882
Te 0.671 0.671 0.076
Te 0.984 0.984 0.676

(3)
The following is a computed PXRD pattern of Dy2PuIn3. It was derived from the GGA-PBE geometry in Alexandria, using λ = 1.5418 Å (Cu Kα).
Intensities are scaled so that the largest is 100.

Top 8 peaks for 10° ≤ 2θ ≤ 90°, in order of rising 2θ:
2θ = 32.9°, I = 100
2θ = 37.6°, I = 35
2θ = 39.2°, I = 15
2θ = 54.3°, I = 12
2θ = 55.5°, I = 22
2θ = 64.9°, I = 28
2θ = 67.0°, I = 12
2θ = 69.0°, I = 12

Crystal structure
abc: 3.380 3.380 13.794
angles: 90.00 90.00 90.00
Atoms (fractional coordinates):
Dy 0.000 0.000 0.163
Dy 0.000 0.000 0.837
Pu 0.000 0.000 0.500
In 0.500 0.500 0.000
In 0.500 0.500 0.329
In 0.500 0.500 0.671

(4)
The following is a computed PXRD pattern of Dy4ThSc2. It was derived from the GGA-PBE geometry in Alexandria, using λ = 1.5418 Å (Cu Kα).
Intensities are scaled so that the largest is 100.

Top 8 peaks for 10° ≤ 2θ ≤ 90°, in order of rising 2θ:
2θ = 25.4°, I = 30
2θ = 28.0°, I = 25
2θ = 32.3°, I = 54
2θ = 34.4°, I = 21
2θ = 34.5°, I = 100
2θ = 49.5°, I = 30
2θ = 59.0°, I = 35
2θ = 63.1°, I = 16

Crystal structure
abc: 11.074 11.074 3.482
angles: 90.00 90.00 90.00
Atoms (fractional coordinates):
Dy 0.031 0.750 0.001
Dy 0.250 0.531 0.999
Dy 0.250 0.969 0.999
Dy 0.469 0.750 0.001
Dy 0.531 0.250 0.999
Dy 0.750 0.031 0.001
Dy 0.750 0.469 0.001
Dy 0.969 0.250 0.999
Th 0.250 0.250 0.497
Th 0.750 0.750 0.503
Sc 0.000 0.000 0.500
Sc 0.000 0.500 0.500
Sc 0.500 0.000 0.500
Sc 0.500 0.500 0.500